Starting from DFT lattice parameters and positions (PBE), the X-ray powder pattern of EuPaN was calculated for Cu Kα, 1.54184 Å.
Intensities are scaled so that the largest is 100.

Crystal structure
```
data_EuPaN
_cell_length_a 3.2787
_cell_length_b 3.2787
_cell_length_c 13.5378
_cell_angle_alpha 90.00
_cell_angle_beta 90.00
_cell_angle_gamma 90.00
_space_group_name_H-M_alt 'I 4 m m'
_space_group_IT_number 107
_space_group_name_Hall 'I 4 -2'
loop_
_atom_site_label
_atom_site_type_symbol
_atom_site_fract_x
_atom_site_fract_y
_atom_site_fract_z
_atom_site_occupancy
Eu1 Eu 0.0000 0.0000 0.0000 1
Pa1 Pa 0.0000 0.0000 0.2774 1
N1 N 0.0000 0.0000 0.8118 1
```

The 6 most intense peaks (10 to 80 degrees two-theta), in order of falling intensity:
d 2.652, I 100, hkl 1 0 3
d 3.187, I 94, hkl 1 0 1
d 3.384, I 63, hkl 0 0 4
d 2.318, I 53, hkl 1 1 0
d 1.913, I 51, hkl 1 1 4
d 1.666, I 35, hkl 1 0 7